Starting from a crystal structure in Alexandria, relaxed with PBE, the X-ray powder pattern of ErPaCrN4 was simulated for Cu Kα (λ = 1.5418 Å).
No peak broadening, texture or thermal motion is included.

Main lines, sorted by position (2θ from 5° to 70°):
hkl 1 1 0, 23.6 deg, rel. 100
hkl 1 0 -2, 28.1 deg, rel. 14
hkl 1 1 -2, 32.9 deg, rel. 39
hkl 2 0 0, 33.1 deg, rel. 28
hkl 0 1 2, 33.2 deg, rel. 36
hkl 0 2 0, 34.1 deg, rel. 40
hkl 1 0 2, 37.4 deg, rel. 14
hkl 2 1 -2, 40.4 deg, rel. 23
hkl 1 1 2, 41.2 deg, rel. 22
hkl 2 2 0, 48.3 deg, rel. 26

```
ErPaCrN4
1.0
5.691 0.000 0.000
0.000 5.262 0.000
-2.064 0.000 6.275
Er Pa Cr N
2 2 2 8
direct
0.200 0.250 0.424
0.800 0.750 0.576
0.271 0.250 0.943
0.729 0.750 0.057
0.267 0.750 0.204
0.733 0.250 0.796
0.057 0.750 0.366
0.071 0.750 0.926
0.484 0.000 0.237
0.484 0.500 0.237
0.516 0.000 0.763
0.516 0.500 0.763
0.929 0.250 0.074
0.943 0.250 0.634
```